1.
For SbRuPt2Cl, the GGA-PBE geometry in Alexandria gives the simulated powder diffraction line list in this record (a wavelength of 1.5418 Å).

Largest 6 diffraction maxima, by intensity, 10° ≤ 2θ ≤ 90°:
| 2θ (°) | d (Å) | I/Imax | h k l |
| --- | --- | --- | --- |
| 31.00 | 2.885 | 100 | 1 1 1 |
| 36.17 | 2.484 | 85 | 2 0 0 |
| 17.53 | 5.059 | 79 | 0 0 1 |
| 51.57 | 1.772 | 61 | 2 0 2 |
| 35.49 | 2.529 | 45 | 0 0 2 |
| 17.86 | 4.967 | 42 | 1 0 0 |

Structure:
abc: 4.967 4.967 5.059
angles: 90.00 90.00 90.00
Element x y z (fractional)
Sb (0.000, 0.000, 0.000)
Ru (0.000, 0.000, 0.500)
Pt (0.000, 0.500, 0.000)
Pt (0.500, 0.000, 0.000)
Cl (0.500, 0.500, 0.500)

2.
For Ta4Nb5Pd, the GGA-PBE geometry in Alexandria gives the simulated powder diffraction line list in this record (a wavelength of 1.5418 Å).

Largest 6 diffraction maxima, by intensity, 10° ≤ 2θ ≤ 90°:
| 2θ (°) | d (Å) | I/Imax | h k l |
| --- | --- | --- | --- |
| 38.66 | 2.329 | 100 | 1 0 5 |
| 38.38 | 2.345 | 51 | 1 1 0 |
| 69.60 | 1.351 | 35 | 2 1 5 |
| 55.40 | 1.658 | 18 | 2 0 0 |
| 70.15 | 1.342 | 17 | 1 1 10 |
| 82.91 | 1.164 | 11 | 2 0 10 |

Structure:
abc: 3.317 3.317 16.356
angles: 90.00 90.00 90.00
Element x y z (fractional)
Ta (0.000, 0.000, 0.100)
Ta (0.000, 0.000, 0.304)
Ta (0.000, 0.000, 0.696)
Ta (0.000, 0.000, 0.900)
Nb (0.500, 0.500, 0.000)
Nb (0.500, 0.500, 0.204)
Nb (0.500, 0.500, 0.401)
Nb (0.500, 0.500, 0.599)
Nb (0.500, 0.500, 0.796)
Pd (0.000, 0.000, 0.500)

3.
For Tb3Tl3Hg2, the GGA-PBE geometry in Alexandria gives the simulated powder diffraction line list in this record (a wavelength of 1.5418 Å).

Largest 6 diffraction maxima, by intensity, 10° ≤ 2θ ≤ 90°:
| 2θ (°) | d (Å) | I/Imax | h k l |
| --- | --- | --- | --- |
| 32.80 | 2.731 | 100 | 1 1 1 |
| 33.01 | 2.714 | 73 | 2 1 0 |
| 35.16 | 2.552 | 39 | 2 0 1 |
| 37.58 | 2.393 | 34 | 3 0 0 |
| 41.55 | 2.173 | 33 | 2 1 1 |
| 64.82 | 1.438 | 26 | 4 1 1 |

Structure:
abc: 8.290 8.290 3.630
angles: 90.00 90.00 120.00
Element x y z (fractional)
Tb (0.000, 0.616, 0.000)
Tb (0.384, 0.384, 0.000)
Tb (0.616, 0.000, 0.000)
Tl (0.000, 0.239, 0.500)
Tl (0.239, 0.000, 0.500)
Tl (0.761, 0.761, 0.500)
Hg (0.333, 0.667, 0.500)
Hg (0.667, 0.333, 0.500)

4.
For TbPrDyHo, the GGA-PBE geometry in Alexandria gives the simulated powder diffraction line list in this record (a wavelength of 1.5418 Å).

Largest 6 diffraction maxima, by intensity, 10° ≤ 2θ ≤ 90°:
| 2θ (°) | d (Å) | I/Imax | h k l |
| --- | --- | --- | --- |
| 30.80 | 2.903 | 100 | 0 1 2 |
| 33.19 | 2.700 | 49 | 1 1 1 |
| 31.75 | 2.819 | 47 | 0 2 0 |
| 62.62 | 1.483 | 33 | 2 1 2 |
| 29.04 | 3.075 | 29 | 1 0 1 |
| 30.37 | 2.944 | 25 | 1 1 0 |

Structure:
abc: 3.451 5.637 6.773
angles: 90.00 90.00 90.00
Element x y z (fractional)
Tb (0.000, 0.000, 0.000)
Pr (0.000, 0.000, 0.483)
Dy (0.000, 0.500, 0.742)
Ho (0.500, 0.500, 0.234)